Calculated powder diffractogram of Cr4Ni for a wavelength of 1.5418 Å, from a cell relaxed with GGA-PBE.
Peak positions follow from Bragg's law for the DFT cell and can differ from measured ones.

Principal peaks in the range 2θ = 10–90°, low angle first:
Position (°2θ)  intensity
45.0  100
46.6  18
64.3  6
66.8  11
81.9  6
83.0  6
83.2  11
85.3  10

Crystal structure
```
Cr4Ni
1.0
0.000 1.951 10.055
1.450 0.000 10.055
1.450 1.951 0.000
Cr Ni
4 1
direct
0.099 0.099 0.901 Cr
0.301 0.301 0.699 Cr
0.699 0.699 0.301 Cr
0.901 0.901 0.099 Cr
0.500 0.500 0.500 Ni
```